[1]
Theoretical powder diffraction line list
Compound: TbP2Pd4
Radiation: a wavelength of 1.5418 Å
Structure: a cell relaxed with GGA-PBE

Most intense lines, 10° ≤ 2θ ≤ 80°, in order of rising 2θ:
2theta	d (Å)	Rel. int.
28.5	3.132	10
35.0	2.562	100
36.8	2.439	40
40.6	2.221	23
44.0	2.057	23
47.5	1.913	19
48.7	1.871	17
61.6	1.505	18
65.2	1.431	26
70.4	1.337	11

Crystal structure
```
data_TbP2Pd4
_space_group_name_H-M_alt 'P 1'
_space_group_IT_number 1
_cell_length_a 7.7138
_cell_length_b 7.7138
_cell_length_c 3.8257
_cell_angle_alpha 90.00
_cell_angle_beta 90.00
_cell_angle_gamma 90.00
loop_
_space_group_symop_operation_xyz
'x,y,z'
loop_
_atom_site_label
_atom_site_fract_x
_atom_site_fract_y
_atom_site_fract_z
_atom_site_occupancy
Tb1 0.0000 0.0000 0.0000 1
Tb2 0.5000 0.5000 0.5000 1
P1 0.2237 0.2237 0.5000 1
P2 0.2763 0.7237 0.0000 1
P3 0.7237 0.2763 0.0000 1
P4 0.7763 0.7763 0.5000 1
Pd1 0.0751 0.6773 0.5000 1
Pd2 0.1773 0.4249 0.0000 1
Pd3 0.3227 0.9249 0.5000 1
Pd4 0.4249 0.1773 0.0000 1
Pd5 0.5751 0.8227 0.0000 1
Pd6 0.6773 0.0751 0.5000 1
Pd7 0.8227 0.5751 0.0000 1
Pd8 0.9249 0.3227 0.5000 1
```

=====

[2]
Theoretical powder diffraction line list
Compound: Ba7B12Ir12
Radiation: a wavelength of 1.5418 Å
Structure: a cell relaxed with GGA-PBE

Most intense lines, 10° ≤ 2θ ≤ 80°, in order of rising 2θ:
2theta	d (Å)	Rel. int.
11.5	7.726	54
25.0	3.568	17
27.5	3.240	56
31.0	2.885	24
33.9	2.643	22
34.8	2.575	100
37.8	2.379	29
39.9	2.260	17
47.9	1.899	14
53.8	1.704	23

Crystal structure
```
data_Ba7B12Ir12
_space_group_name_H-M_alt 'P 1'
_space_group_IT_number 1
_cell_length_a 9.3543
_cell_length_b 9.3543
_cell_length_c 9.3543
_cell_angle_alpha 111.37
_cell_angle_beta 111.37
_cell_angle_gamma 111.37
loop_
_space_group_symop_operation_xyz
'x,y,z'
loop_
_atom_site_label
_atom_site_fract_x
_atom_site_fract_y
_atom_site_fract_z
_atom_site_occupancy
Ba1 0.0000 0.0000 0.0000 1
Ba2 0.2062 0.2062 0.5101 1
Ba3 0.2062 0.5101 0.2062 1
Ba4 0.4899 0.7938 0.7938 1
Ba5 0.5101 0.2062 0.2062 1
Ba6 0.7938 0.4899 0.7938 1
Ba7 0.7938 0.7938 0.4899 1
B1 0.0000 0.2275 0.7725 1
B2 0.0000 0.4408 0.5592 1
B3 0.0000 0.5592 0.4408 1
B4 0.0000 0.7725 0.2275 1
B5 0.2275 0.0000 0.7725 1
B6 0.2275 0.7725 0.0000 1
B7 0.4408 0.0000 0.5592 1
B8 0.4408 0.5592 0.0000 1
B9 0.5592 0.0000 0.4408 1
B10 0.5592 0.4408 0.0000 1
B11 0.7725 0.0000 0.2275 1
B12 0.7725 0.2275 0.0000 1
Ir1 0.1158 0.7361 0.7361 1
Ir2 0.1698 0.5000 0.8302 1
Ir3 0.1698 0.8302 0.5000 1
Ir4 0.2639 0.2639 0.8842 1
Ir5 0.2639 0.8842 0.2639 1
Ir6 0.5000 0.1698 0.8302 1
Ir7 0.5000 0.8302 0.1698 1
Ir8 0.7361 0.1158 0.7361 1
Ir9 0.7361 0.7361 0.1158 1
Ir10 0.8302 0.1698 0.5000 1
Ir11 0.8302 0.5000 0.1698 1
Ir12 0.8842 0.2639 0.2639 1
```

=====

[3]
Theoretical powder diffraction line list
Compound: NaPtS4
Radiation: a wavelength of 1.5418 Å
Structure: a cell relaxed with GGA-PBE

Most intense lines, 10° ≤ 2θ ≤ 80°, in order of rising 2θ:
2theta	d (Å)	Rel. int.
13.3	6.651	100
18.4	4.823	49
19.5	4.555	17
22.5	3.960	25
23.1	3.851	50
23.7	3.753	18
26.5	3.363	27
28.0	3.181	25
31.6	2.830	37
45.8	1.980	20

Crystal structure
```
data_NaPtS4
_space_group_name_H-M_alt 'P 1'
_space_group_IT_number 1
_cell_length_a 4.9464
_cell_length_b 6.6893
_cell_length_c 9.3922
_cell_angle_alpha 95.89
_cell_angle_beta 102.70
_cell_angle_gamma 90.35
loop_
_space_group_symop_operation_xyz
'x,y,z'
loop_
_atom_site_label
_atom_site_fract_x
_atom_site_fract_y
_atom_site_fract_z
_atom_site_occupancy
Na1 0.1735 0.0995 0.3112 1
Na2 0.8265 0.9005 0.6888 1
Pt1 0.4769 0.4760 0.2366 1
Pt2 0.5231 0.5240 0.7634 1
S1 0.1716 0.6353 0.0679 1
S2 0.2459 0.6915 0.5813 1
S3 0.3214 0.7566 0.9106 1
S4 0.4259 0.7443 0.4103 1
S5 0.5741 0.2557 0.5897 1
S6 0.6786 0.2434 0.0894 1
S7 0.7541 0.3085 0.4187 1
S8 0.8284 0.3647 0.9321 1
```

=====

[4]
Theoretical powder diffraction line list
Compound: Ce11O20
Radiation: a wavelength of 1.5418 Å
Structure: a cell relaxed with GGA-PBE

Most intense lines, 10° ≤ 2θ ≤ 80°, in order of rising 2θ:
2theta	d (Å)	Rel. int.
27.9	3.196	51
28.0	3.183	100
28.1	3.173	49
32.5	2.759	41
32.5	2.754	21
46.4	1.955	33
46.6	1.949	49
55.1	1.667	20
55.2	1.664	27
55.4	1.658	20

Crystal structure
```
data_Ce11O20
_space_group_name_H-M_alt 'P 1'
_space_group_IT_number 1
_cell_length_a 6.7600
_cell_length_b 6.7748
_cell_length_c 10.2771
_cell_angle_alpha 96.11
_cell_angle_beta 90.17
_cell_angle_gamma 99.73
loop_
_space_group_symop_operation_xyz
'x,y,z'
loop_
_atom_site_label
_atom_site_fract_x
_atom_site_fract_y
_atom_site_fract_z
_atom_site_occupancy
Ce1 0.0000 0.0000 0.0000 1
Ce2 0.1178 0.5534 0.1724 1
Ce3 0.1783 0.1002 0.3641 1
Ce4 0.2721 0.6402 0.5258 1
Ce5 0.3588 0.1458 0.7241 1
Ce6 0.4716 0.7362 0.9181 1
Ce7 0.5284 0.2638 0.0819 1
Ce8 0.6412 0.8542 0.2759 1
Ce9 0.7279 0.3598 0.4742 1
Ce10 0.8217 0.8998 0.6359 1
Ce11 0.8822 0.4466 0.8276 1
O1 0.0345 0.1611 0.7996 1
O2 0.0451 0.4312 0.3706 1
O3 0.1372 0.6549 0.9600 1
O4 0.1525 0.9435 0.5649 1
O5 0.1982 0.2220 0.1544 1
O6 0.3093 0.7985 0.3363 1
O7 0.3401 0.0351 0.9308 1
O8 0.3632 0.3297 0.5401 1
O9 0.4595 0.8194 0.7020 1
O10 0.4652 0.5896 0.1270 1
O11 0.5348 0.4104 0.8730 1
O12 0.5405 0.1806 0.2980 1
O13 0.6368 0.6703 0.4599 1
O14 0.6599 0.9649 0.0692 1
O15 0.6907 0.2015 0.6637 1
O16 0.8018 0.7780 0.8456 1
O17 0.8475 0.0565 0.4351 1
O18 0.8628 0.3451 0.0400 1
O19 0.9549 0.5688 0.6294 1
O20 0.9655 0.8389 0.2004 1
```